# H9AuCl4O4
Computed X-ray diffraction stick pattern, a wavelength of 1.5418 Å. Input: a structure optimized by DFT (GGA-PBE).
No peak broadening, texture or thermal motion is included.

Structural model:
abc: 4.4616 7.3547 9.6275
angles: 101.80 103.00 107.11
Space group P1 (No. 1)
Inequivalent atoms, fractional coordinates:
H1 0.0000 0.0000 0.0000 (multiplicity 1)
H2 0.0105 0.5295 0.5375 (multiplicity 1)
H3 0.2459 0.9931 0.8168 (multiplicity 1)
H4 0.3220 0.3355 0.6206 (multiplicity 1)
H5 0.4630 0.1638 0.7192 (multiplicity 1)
H6 0.6138 0.9949 0.8162 (multiplicity 1)
H7 0.6853 0.3295 0.6194 (multiplicity 1)
H8 0.8220 0.7892 0.8885 (multiplicity 1)
H9 0.8902 0.3133 0.4341 (multiplicity 1)
Au1 0.5908 0.6650 0.2167 (multiplicity 1)
Cl1 0.3918 0.5676 0.9585 (multiplicity 1)
Cl2 0.4347 0.3346 0.2123 (multiplicity 1)
Cl3 0.7684 0.7627 0.4753 (multiplicity 1)
Cl4 0.7823 0.9955 0.2207 (multiplicity 1)
O1 0.4137 0.0182 0.7625 (multiplicity 1)
O2 0.5173 0.3102 0.6747 (multiplicity 1)
O3 0.9287 0.9290 0.8929 (multiplicity 1)
O4 0.9868 0.3921 0.5398 (multiplicity 1)

Most intense lines, 10 to 90 degrees two-theta, most intense first:
two_theta  intensity
21.11  100.0
13.16  61.8
13.97  47.3
22.12  40.8
21.88  38.0
19.78  29.3
25.44  28.4
18.64  28.0
29.86  25.4
24.68  24.3


# IrAuN5Cl6
Computed X-ray diffraction stick pattern, a wavelength of 1.5418 Å. Input: a structure optimized by DFT (GGA-PBE).
No peak broadening, texture or thermal motion is included.

Structural model:
abc: 14.0761 8.2075 11.8976
angles: 90.00 112.32 90.00
Space group C2/m (No. 12)
Inequivalent atoms, fractional coordinates:
Ir1 0.2336 0.0000 0.2494 (multiplicity 4)
Au1 0.0000 0.0000 0.5000 (multiplicity 2)
Au2 0.0000 0.5000 0.0000 (multiplicity 2)
N1 0.1342 0.3429 0.7638 (multiplicity 8)
N2 0.1677 0.1671 0.2897 (multiplicity 8)
N3 0.1816 0.0000 0.0879 (multiplicity 4)
Cl1 0.0000 0.2166 0.0000 (multiplicity 4)
Cl2 0.0078 0.0000 0.3080 (multiplicity 4)
Cl3 0.0750 0.5000 0.7663 (multiplicity 4)
Cl4 0.1464 0.5000 0.5389 (multiplicity 4)
Cl5 0.1754 0.5000 0.1089 (multiplicity 4)
Cl6 0.1768 0.0000 0.5832 (multiplicity 4)

Most intense lines, 10 to 90 degrees two-theta, most intense first:
two_theta  intensity
16.42  100.0
16.68  47.6
21.66  42.8
27.44  30.3
25.05  29.2
21.82  27.0
35.14  22.0
40.06  19.9
32.54  11.8
47.74  10.7


# IrAuN5Cl6
Computed X-ray diffraction stick pattern, a wavelength of 1.5418 Å. Input: a structure optimized by DFT (GGA-PBE).
No peak broadening, texture or thermal motion is included.

Structural model:
abc: 15.4190 8.5783 10.7290
angles: 90.00 108.31 90.00
Space group C2/m (No. 12)
Inequivalent atoms, fractional coordinates:
Ir1 0.2497 0.0000 0.2263 (multiplicity 4)
Au1 0.0000 0.0000 0.5000 (multiplicity 2)
Au2 0.0000 0.5000 0.0000 (multiplicity 2)
N1 0.1621 0.1617 0.2762 (multiplicity 8)
N2 0.1840 0.5000 0.5535 (multiplicity 4)
N3 0.1923 0.3234 0.7715 (multiplicity 8)
Cl1 0.0000 0.2695 0.5000 (multiplicity 4)
Cl2 0.0183 0.0000 0.2933 (multiplicity 4)
Cl3 0.0215 0.5000 0.7968 (multiplicity 4)
Cl4 0.1438 0.0000 0.0221 (multiplicity 4)
Cl5 0.1566 0.5000 0.1008 (multiplicity 4)
Cl6 0.2473 0.5000 0.4602 (multiplicity 4)

Most intense lines, 10 to 90 degrees two-theta, most intense first:
two_theta  intensity
15.88  100.0
20.37  51.6
20.71  45.9
24.29  34.8
36.06  34.7
17.82  30.1
32.14  21.0
35.22  20.4
27.10  19.3
33.63  12.2


# KAuCl4
Computed X-ray diffraction stick pattern, a wavelength of 1.5418 Å. Input: a structure optimized by DFT (GGA-PBE).
No peak broadening, texture or thermal motion is included.

Structural model:
abc: 9.1004 6.5869 12.5133
angles: 90.00 96.57 90.00
Space group Pc (No. 7)
Inequivalent atoms, fractional coordinates:
K1 0.0000 0.1985 0.0000 (multiplicity 2)
K2 0.5701 0.3001 0.6325 (multiplicity 2)
Au1 0.2827 0.2510 0.3196 (multiplicity 2)
Au2 0.7836 0.2526 0.3147 (multiplicity 2)
Cl1 0.1193 0.0004 0.2499 (multiplicity 2)
Cl2 0.2781 0.3986 0.1508 (multiplicity 2)
Cl3 0.2881 0.1029 0.4885 (multiplicity 2)
Cl4 0.4455 0.4977 0.8894 (multiplicity 2)
Cl5 0.6631 0.0391 0.8621 (multiplicity 2)
Cl6 0.6926 0.2023 0.1353 (multiplicity 2)
Cl7 0.8748 0.3028 0.4941 (multiplicity 2)
Cl8 0.9035 0.4549 0.7677 (multiplicity 2)

Most intense lines, 10 to 90 degrees two-theta, most intense first:
two_theta  intensity
15.22  100.0
24.28  53.9
14.25  47.5
25.60  41.8
19.64  28.8
22.97  26.9
25.39  23.2
41.75  22.2
35.79  20.1
30.72  14.9